The following is a theoretical powder X-ray diffraction pattern of BaLiMn2Se4. It was derived from DFT lattice parameters and positions (PBE), using Cu Kα X-rays.
Kinematic intensities with the Lorentz-polarization factor, no thermal factor.

Structure:
Lattice parameters (Å, degrees): 6.9620 6.9620 13.4757 90.00 90.00 145.62
Positions (direct):
Ba  0.1193  0.8807  0.7500
Ba  0.8807  0.1193  0.2500
Li  0.1567  0.8433  0.2500
Li  0.8433  0.1567  0.7500
Mn  0.3685  0.6315  0.5605
Mn  0.3685  0.6315  0.9395
Mn  0.6315  0.3685  0.0605
Mn  0.6315  0.3685  0.4395
Se  0.0000  0.0000  0.0000
Se  0.0000  0.0000  0.5000
Se  0.2602  0.7398  0.1004
Se  0.2602  0.7398  0.3996
Se  0.4344  0.5656  0.7500
Se  0.5656  0.4344  0.2500
Se  0.7398  0.2602  0.6004
Se  0.7398  0.2602  0.8996

The 10 most intense peaks (2θ from 5° to 70°), by angle:
- 23.9°, I 24
- 29.7°, I 44
- 30.0°, I 20
- 30.2°, I 43
- 30.4°, I 100
- 32.5°, I 68
- 40.6°, I 20
- 44.0°, I 33
- 45.1°, I 22
- 45.6°, I 20


The following is a theoretical powder X-ray diffraction pattern of Nd2Sm3Sc. It was derived from DFT lattice parameters and positions (PBE), using Cu Kα X-rays.
Kinematic intensities with the Lorentz-polarization factor, no thermal factor.

Structure:
Lattice parameters (Å, degrees): 6.6947 17.6061 3.3825 90.00 90.00 90.00
Positions (direct):
Nd  0.2492  0.1476  0.0000
Nd  0.2508  0.6476  0.5000
Nd  0.7492  0.3524  0.5000
Nd  0.7508  0.8524  0.0000
Sm  0.0000  0.0000  0.5000
Sm  0.2473  0.8222  0.0000
Sm  0.2527  0.3222  0.5000
Sm  0.5000  0.5000  0.0000
Sm  0.7473  0.6778  0.5000
Sm  0.7527  0.1778  0.0000
Sc  0.0000  0.5000  0.5000
Sc  0.5000  0.0000  0.0000

The 10 most intense peaks (2θ from 5° to 70°), by angle:
- 26.6°, I 16
- 28.5°, I 37
- 30.5°, I 100
- 31.3°, I 11
- 33.4°, I 18
- 33.6°, I 29
- 38.2°, I 28
- 40.9°, I 33
- 54.2°, I 16
- 64.1°, I 24


The following is a theoretical powder X-ray diffraction pattern of Tb10CeTm4. It was derived from DFT lattice parameters and positions (PBE), using Cu Kα X-rays.
Kinematic intensities with the Lorentz-polarization factor, no thermal factor.

Structure:
Lattice parameters (Å, degrees): 8.6080 8.6080 8.6080 111.92 111.92 104.68
Positions (direct):
Tb  0.0425  0.9425  0.6709
Tb  0.0575  0.7284  0.0999
Tb  0.2500  0.7500  0.5000
Tb  0.2716  0.3715  0.3291
Tb  0.3715  0.0425  0.0999
Tb  0.6285  0.9575  0.9001
Tb  0.7284  0.6285  0.6709
Tb  0.7500  0.2500  0.5000
Tb  0.9425  0.2716  0.9001
Tb  0.9575  0.0575  0.3291
Ce  0.5000  0.5000  0.0000
Tm  0.1655  0.5669  0.7323
Tm  0.4331  0.1655  0.5986
Tm  0.5669  0.8345  0.4014
Tm  0.8345  0.4331  0.2677

The 10 most intense peaks (2θ from 5° to 70°), by angle:
- 27.1°, I 72
- 29.1°, I 76
- 29.3°, I 100
- 32.9°, I 95
- 34.0°, I 76
- 34.6°, I 48
- 39.0°, I 26
- 41.9°, I 26
- 42.5°, I 28
- 45.5°, I 45


The following is a theoretical powder X-ray diffraction pattern of CdFeRh. It was derived from DFT lattice parameters and positions (PBE), using Cu Kα X-rays.
Kinematic intensities with the Lorentz-polarization factor, no thermal factor.

Structure:
Lattice parameters (Å, degrees): 2.9570 2.9570 22.4840 90.00 90.00 90.00
Positions (direct):
Cd  0.0000  0.0000  0.0654
Cd  0.0000  0.0000  0.9346
Cd  0.5000  0.5000  0.4346
Cd  0.5000  0.5000  0.5654
Fe  0.0000  0.0000  0.2177
Fe  0.0000  0.0000  0.7823
Fe  0.5000  0.5000  0.2823
Fe  0.5000  0.5000  0.7177
Rh  0.0000  0.0000  0.3473
Rh  0.0000  0.0000  0.6527
Rh  0.5000  0.5000  0.1527
Rh  0.5000  0.5000  0.8473

The 10 most intense peaks (2θ from 5° to 70°), by angle:
- 15.8°, I 10
- 30.5°, I 11
- 31.8°, I 7
- 32.6°, I 32
- 40.1°, I 8
- 41.5°, I 100
- 43.3°, I 49
- 57.4°, I 7
- 60.5°, I 9
- 62.9°, I 15


Number 1 is which compound? BaLiMn2Se4